# 1
For Sr3AgPb3, a cell relaxed with GGA-PBE gives the computed powder XRD pattern in this record (Cu Ka).

Atomic structure:
a = 12.1252 Å, b = 5.0278 Å, c = 16.4547 Å
α = 90.00°, β = 109.64°, γ = 90.00°
Space group C2/m (No. 12)
One atom of each set of equivalent atoms:
Sr 0.0415 0.0000 0.3865 (multiplicity 4)
Sr 0.0961 0.0000 0.9201 (multiplicity 4)
Sr 0.2395 0.0000 0.2313 (multiplicity 4)
Ag 0.2456 0.5000 0.3874 (multiplicity 4)
Pb 0.0292 0.5000 0.2349 (multiplicity 4)
Pb 0.1183 0.5000 0.0759 (multiplicity 4)
Pb 0.1376 0.5000 0.5417 (multiplicity 4)

Largest 10 diffraction maxima, most intense first, 15 to 90 degrees two-theta:
d (Å)  Rel. int.
2.599  100.0
3.184  83.5
2.514  57.6
4.601  57.2
3.030  42.8
2.778  36.6
1.800  33.9
3.226  32.6
1.637  25.5
2.575  25.4

# 2
For BaTl7Bi4, a cell relaxed with GGA-PBE gives the computed powder XRD pattern in this record (Cu Ka).

Atomic structure:
a = 14.1002 Å, b = 6.2987 Å, c = 12.0742 Å
α = 90.00°, β = 124.73°, γ = 90.00°
Space group C2/m (No. 12)
One atom of each set of equivalent atoms:
Ba 0.0000 0.0000 0.0000 (multiplicity 2)
Tl 0.0000 0.5000 0.0000 (multiplicity 2)
Tl 0.0679 0.0000 0.4187 (multiplicity 4)
Tl 0.1790 0.5000 0.8874 (multiplicity 4)
Tl 0.2260 0.5000 0.6402 (multiplicity 4)
Bi 0.1051 0.5000 0.3173 (multiplicity 4)
Bi 0.2221 0.0000 0.7822 (multiplicity 4)

Largest 10 diffraction maxima, most intense first, 15 to 90 degrees two-theta:
d (Å)  Rel. int.
3.149  100.0
2.714  93.0
2.557  60.6
2.550  50.5
3.014  40.9
3.339  39.9
1.721  37.8
2.178  33.8
2.292  32.6
1.679  31.5

# 3
For RbVCr2Br8, a cell relaxed with GGA-PBE gives the computed powder XRD pattern in this record (Cu Ka).

Atomic structure:
a = 6.7890 Å, b = 6.7890 Å, c = 29.0013 Å
α = 90.00°, β = 90.00°, γ = 120.00°
Space group R-3 (No. 148, hexagonal axes)
One atom of each set of equivalent atoms:
Rb 0.0000 0.0000 0.0000 (multiplicity 3)
V 0.0000 0.0000 0.5000 (multiplicity 3)
Cr 0.0000 0.0000 0.2326 (multiplicity 6)
Br 0.0000 0.0000 0.3153 (multiplicity 6)
Br 0.0121 0.6416 0.2186 (multiplicity 18)

Largest 10 diffraction maxima, most intense first, 15 to 90 degrees two-theta:
d (Å)  Rel. int.
3.203  100.0
2.778  73.8
1.960  49.4
3.222  41.4
1.674  41.0
1.969  26.5
4.567  25.8
2.724  13.5
1.680  12.0
1.601  11.1

# 4
For Ge5Te8As2, a cell relaxed with GGA-PBE gives the computed powder XRD pattern in this record (Cu Ka).

Atomic structure:
a = 13.2196 Å, b = 5.9615 Å, c = 11.9503 Å
α = 90.00°, β = 117.08°, γ = 90.00°
Space group C2/m (No. 12)
One atom of each set of equivalent atoms:
Ge 0.0000 0.0000 0.0000 (multiplicity 2)
Ge 0.0114 0.5000 0.2609 (multiplicity 4)
Ge 0.2482 0.0000 0.8868 (multiplicity 4)
Te 0.0000 0.5000 0.0000 (multiplicity 2)
Te 0.0000 0.5000 0.5000 (multiplicity 2)
Te 0.0046 0.0000 0.2503 (multiplicity 4)
Te 0.2430 0.0000 0.6148 (multiplicity 4)
Te 0.2492 0.5000 0.8748 (multiplicity 4)
As 0.2477 0.5000 0.6101 (multiplicity 4)

Largest 10 diffraction maxima, most intense first, 15 to 90 degrees two-theta:
d (Å)  Rel. int.
2.984  100.0
2.094  53.6
2.943  48.1
2.110  36.8
3.430  26.9
1.717  19.2
1.713  18.4
2.100  18.1
1.330  11.7
1.335  11.3

Please write out number 2 again, unchanged.
For BaTl7Bi4, a cell relaxed with GGA-PBE gives the computed powder XRD pattern in this record (Cu Ka).

Atomic structure:
a = 14.1002 Å, b = 6.2987 Å, c = 12.0742 Å
α = 90.00°, β = 124.73°, γ = 90.00°
Space group C2/m (No. 12)
One atom of each set of equivalent atoms:
Ba 0.0000 0.0000 0.0000 (multiplicity 2)
Tl 0.0000 0.5000 0.0000 (multiplicity 2)
Tl 0.0679 0.0000 0.4187 (multiplicity 4)
Tl 0.1790 0.5000 0.8874 (multiplicity 4)
Tl 0.2260 0.5000 0.6402 (multiplicity 4)
Bi 0.1051 0.5000 0.3173 (multiplicity 4)
Bi 0.2221 0.0000 0.7822 (multiplicity 4)

Largest 10 diffraction maxima, most intense first, 15 to 90 degrees two-theta:
d (Å)  Rel. int.
3.149  100.0
2.714  93.0
2.557  60.6
2.550  50.5
3.014  40.9
3.339  39.9
1.721  37.8
2.178  33.8
2.292  32.6
1.679  31.5

Which formula does entry 2 have?
BaTl7Bi4